Theoretical PXRD pattern of Li7Mn11O24 for Cu Kα, 1.54184 Å, from a PBE+U-relaxed structure.
Kinematic intensities with the Lorentz-polarization factor, no thermal factor.

Structure:
```
42
Lattice="5.793 0.000 0.000 -0.085 8.491 0.000 -2.847 -3.974 8.770" Properties=species:S:1:pos:R:3 pbc="T T T"
Li 0.000 0.000 0.000
Li 0.009 1.189 1.783
Li 0.027 -0.961 4.335
Li 0.002 1.279 7.367
Li 2.859 3.238 1.403
Li 2.834 5.478 4.435
Li 2.853 3.328 6.987
Mn -0.042 4.246 0.000
Mn -1.466 2.258 4.385
Mn -0.060 4.416 2.952
Mn -1.397 -1.979 7.336
Mn -0.060 4.442 5.896
Mn 1.411 6.501 1.441
Mn 1.431 2.258 4.385
Mn 1.450 -1.985 7.329
Mn 2.921 0.075 2.874
Mn 4.259 6.496 1.434
Mn 2.921 0.101 5.818
O -0.058 6.519 0.158
O -1.366 4.283 4.379
O -1.586 0.039 7.307
O -0.078 6.328 2.770
O -1.480 4.635 7.154
O 0.009 2.482 3.089
O 1.243 4.496 1.484
O -0.037 2.492 5.750
O 0.017 -2.071 5.999
O 1.497 -0.116 1.632
O 1.197 4.439 4.390
O 0.031 -1.849 8.534
O 2.830 6.366 0.236
O 1.664 0.078 4.380
O 1.364 4.633 7.137
O 2.845 6.588 2.771
O 2.898 2.025 3.020
O 1.618 0.021 7.285
O 2.852 2.035 5.681
O 4.341 -0.118 1.616
O 2.939 -1.811 6.000
O 4.447 4.478 1.463
O 4.227 0.234 4.391
O 2.920 -2.002 8.612
```

Peak list (6 most intense, 10 to 80 degrees two-theta, by angle)
2θ 18.2, rel. 38; 2θ 18.5, rel. 34; 2θ 18.7, rel. 100; 2θ 35.7, rel. 16; 2θ 42.6, rel. 34; 2θ 44.0, rel. 65